Entry 1:
For TiO2, a GGA-PBE-relaxed structure gives the theoretical XRD peak list in this record (Cu Kα (weighted mean of Kα1 and Kα2)).
Peak positions follow from Bragg's law for the DFT cell and can differ from measured ones.

Principal peaks in the range 5° ≤ 2θ ≤ 70°, sorted by position:
2θ = 18.2°, 4.864 Å, rel. 20.6
2θ = 23.4°, 3.809 Å, rel. 100.0
2θ = 34.6°, 2.592 Å, rel. 10.2
2θ = 37.0°, 2.432 Å, rel. 10.5
2θ = 43.7°, 2.070 Å, rel. 14.7
2θ = 51.9°, 1.761 Å, rel. 11.8

Atomic structure:
Cell lengths 5.6163, 5.6163, 6.1268 Å; angles 90.00, 90.00, 120.00 degrees
Space group P3_121 (No. 152)
Asymmetric unit:
Ti1 0.0000 0.4667 0.1667 x3
O1 0.1488 0.7290 0.9541 x6

Entry 2:
For TiO2, a GGA-PBE-relaxed structure gives the theoretical XRD peak list in this record (Cu Kα (weighted mean of Kα1 and Kα2)).
Peak positions follow from Bragg's law for the DFT cell and can differ from measured ones.

Principal peaks in the range 5° ≤ 2θ ≤ 70°, sorted by position:
2θ = 22.0°, 4.037 Å, rel. 63.0
2θ = 22.7°, 3.913 Å, rel. 100.0
2θ = 30.8°, 2.906 Å, rel. 60.0
2θ = 35.5°, 2.526 Å, rel. 47.7
2θ = 40.7°, 2.218 Å, rel. 49.0
2θ = 53.2°, 1.722 Å, rel. 42.1

Atomic structure:
Cell lengths 14.2652, 2.9820, 4.7894 Å; angles 90.00, 91.93, 90.00 degrees
Space group C2/m (No. 12)
Asymmetric unit:
Ti1 0.0000 0.0000 0.0000 x2
Ti2 0.1566 0.5000 0.5200 x4
O1 0.0625 0.5000 0.8190 x4
O2 0.0990 0.0000 0.3113 x4
O3 0.2237 0.0000 0.7005 x4

Entry 3:
For Ti2O, a GGA-PBE-relaxed structure gives the theoretical XRD peak list in this record (Cu Kα (weighted mean of Kα1 and Kα2)).
Peak positions follow from Bragg's law for the DFT cell and can differ from measured ones.

Principal peaks in the range 5° ≤ 2θ ≤ 70°, sorted by position:
2θ = 34.7°, 2.583 Å, rel. 9.8
2θ = 37.4°, 2.402 Å, rel. 16.1
2θ = 39.6°, 2.275 Å, rel. 100.0
2θ = 52.0°, 1.759 Å, rel. 24.0
2θ = 62.3°, 1.491 Å, rel. 19.2
2θ = 69.0°, 1.361 Å, rel. 14.0

Atomic structure:
Cell lengths 2.9828, 2.9828, 4.8035 Å; angles 90.00, 90.00, 120.00 degrees
Space group P-3m1 (No. 164)
Asymmetric unit:
Ti1 0.3333 0.6667 0.2670 x2
O1 0.0000 0.0000 0.0000 x1

Entry 4:
For TiO, a GGA-PBE-relaxed structure gives the theoretical XRD peak list in this record (Cu Kα (weighted mean of Kα1 and Kα2)).
Peak positions follow from Bragg's law for the DFT cell and can differ from measured ones.

Principal peaks in the range 5° ≤ 2θ ≤ 70°, sorted by position:
2θ = 32.2°, 2.784 Å, rel. 17.4
2θ = 39.9°, 2.257 Å, rel. 100.0
2θ = 49.3°, 1.847 Å, rel. 46.2
2θ = 62.6°, 1.484 Å, rel. 23.2
2θ = 65.5°, 1.426 Å, rel. 22.2
2θ = 67.3°, 1.392 Å, rel. 6.7

Atomic structure:
Cell lengths 2.8516, 2.8516, 5.5675 Å; angles 90.00, 90.00, 120.00 degrees
Space group P6_3/mmc (No. 194)
Asymmetric unit:
Ti1 0.3333 0.6667 0.2500 x2
O1 0.0000 0.0000 0.0000 x2

Entry 5:
For TiO, a GGA-PBE-relaxed structure gives the theoretical XRD peak list in this record (Cu Kα (weighted mean of Kα1 and Kα2)).
Peak positions follow from Bragg's law for the DFT cell and can differ from measured ones.

Principal peaks in the range 5° ≤ 2θ ≤ 70°, sorted by position:
2θ = 35.8°, 2.509 Å, rel. 100.0
2θ = 37.4°, 2.402 Å, rel. 80.9
2θ = 48.1°, 1.892 Å, rel. 29.4
2θ = 52.8°, 1.735 Å, rel. 51.1
2θ = 64.3°, 1.449 Å, rel. 27.2
2θ = 65.4°, 1.427 Å, rel. 32.8

Atomic structure:
Cell lengths 5.0185, 5.0185, 2.8820 Å; angles 90.00, 90.00, 120.00 degrees
Space group P-62m (No. 189)
Asymmetric unit:
Ti1 0.0000 0.0000 0.0000 x1
Ti2 0.3333 0.6667 0.5000 x2
O1 0.0000 0.3940 0.0000 x3